No. 1
The following is a calculated XRD peak list of FeSb3Pb4O13. It was derived from a structure optimized by DFT (PBE+U), using Cu Kα (λ = 1.5418 Å).

Most intense lines, 2θ from 10° to 80°, by angle:
2θ 29.00, rel. 100.0; 2θ 29.27, rel. 32.3; 2θ 33.69, rel. 50.6; 2θ 48.21, rel. 29.4; 2θ 48.56, rel. 28.3; 2θ 57.25, rel. 15.0; 2θ 57.40, rel. 29.5; 2θ 57.71, rel. 14.7; 2θ 60.10, rel. 11.8; 2θ 78.03, rel. 12.9

Structure:
abc: 7.500 7.500 7.500
angles: 60.45 60.45 60.45
Atoms (fractional coordinates):
Fe (0.000, 0.000, 0.000)
Sb (0.000, 0.000, 0.498)
Sb (0.000, 0.498, 0.000)
Sb (0.498, 0.000, 0.000)
Pb (0.500, 0.500, 0.995)
Pb (0.500, 0.995, 0.500)
Pb (0.501, 0.501, 0.501)
Pb (0.995, 0.500, 0.500)
O (0.072, 0.072, 0.671)
O (0.072, 0.671, 0.072)
O (0.074, 0.676, 0.676)
O (0.320, 0.320, 0.926)
O (0.320, 0.926, 0.320)
O (0.324, 0.929, 0.929)
O (0.375, 0.375, 0.375)
O (0.671, 0.072, 0.072)
O (0.676, 0.074, 0.676)
O (0.676, 0.676, 0.074)
O (0.926, 0.320, 0.320)
O (0.929, 0.324, 0.929)
O (0.929, 0.929, 0.324)


No. 2
The following is a calculated XRD peak list of Fe2Sb3PbO8. It was derived from a structure optimized by DFT (PBE+U), using Cu Kα (λ = 1.5418 Å).

Most intense lines, 2θ from 10° to 80°, by angle:
2θ 20.50, rel. 10.8; 2θ 27.18, rel. 100.0; 2θ 28.94, rel. 11.9; 2θ 32.50, rel. 12.0; 2θ 32.69, rel. 22.0; 2θ 35.73, rel. 16.5; 2θ 45.61, rel. 24.5; 2θ 50.22, rel. 18.6; 2θ 53.84, rel. 20.8; 2θ 59.37, rel. 10.8

Structure:
abc: 6.170 8.663 8.663
angles: 90.02 90.00 90.00
Atoms (fractional coordinates):
Fe (0.000, 0.000, 0.000)
Fe (0.000, 0.497, 0.497)
Fe (0.500, 0.000, 0.000)
Fe (0.500, 0.497, 0.497)
Sb (0.250, 0.168, 0.674)
Sb (0.250, 0.328, 0.171)
Sb (0.250, 0.671, 0.828)
Sb (0.750, 0.171, 0.328)
Sb (0.750, 0.674, 0.168)
Sb (0.750, 0.828, 0.671)
Pb (0.250, 0.849, 0.351)
Pb (0.750, 0.351, 0.849)
O (0.000, 0.327, 0.327)
O (0.000, 0.670, 0.670)
O (0.012, 0.173, 0.826)
O (0.250, 0.103, 0.147)
O (0.250, 0.400, 0.629)
O (0.250, 0.582, 0.380)
O (0.250, 0.894, 0.853)
O (0.488, 0.173, 0.826)
O (0.500, 0.327, 0.327)
O (0.500, 0.670, 0.670)
O (0.512, 0.826, 0.173)
O (0.750, 0.147, 0.103)
O (0.750, 0.380, 0.582)
O (0.750, 0.629, 0.400)
O (0.750, 0.853, 0.894)
O (0.988, 0.826, 0.173)


No. 3
The following is a calculated XRD peak list of Fe2PbSe4O12. It was derived from a structure optimized by DFT (PBE+U), using Cu Kα (λ = 1.5418 Å).

Most intense lines, 2θ from 10° to 80°, by angle:
2θ 16.79, rel. 38.6; 2θ 23.56, rel. 75.7; 2θ 25.35, rel. 78.5; 2θ 25.66, rel. 43.6; 2θ 27.05, rel. 44.2; 2θ 27.51, rel. 69.0; 2θ 29.51, rel. 45.7; 2θ 30.34, rel. 76.7; 2θ 31.27, rel. 100.0; 2θ 33.96, rel. 52.0

Structure:
abc: 5.301 6.983 7.756
angles: 93.46 90.42 95.05
Atoms (fractional coordinates):
Fe (0.000, 0.000, 0.000)
Fe (0.497, 0.500, 0.496)
Pb (0.948, 0.007, 0.511)
Se (0.004, 0.554, 0.758)
Se (0.479, 0.800, 0.174)
Se (0.515, 0.198, 0.821)
Se (0.994, 0.446, 0.238)
O (0.010, 0.284, 0.063)
O (0.155, 0.348, 0.406)
O (0.220, 0.071, 0.790)
O (0.293, 0.988, 0.161)
O (0.320, 0.592, 0.707)
O (0.423, 0.750, 0.389)
O (0.584, 0.250, 0.607)
O (0.678, 0.402, 0.290)
O (0.708, 0.012, 0.830)
O (0.776, 0.928, 0.203)
O (0.842, 0.655, 0.590)
O (0.988, 0.716, 0.932)